# Ni2P3O11
Simulated XRD peak list, Cu Kα X-rays. Input: a structure optimized by DFT (PBE+U).
Kinematic intensities with the Lorentz-polarization factor, no thermal factor.

Crystal structure
Cell: 7.0772 7.0772 8.6464 Å, 109.48 109.48 70.88°
Element x y z (fractional)
Ni 0.1160 0.6333 0.9614
Ni 0.3667 0.8840 0.5386
Ni 0.6333 0.1160 0.4614
Ni 0.8840 0.3667 0.0386
P 0.0439 0.9561 0.7500
P 0.3239 0.4581 0.2924
P 0.4581 0.3239 0.7924
P 0.5419 0.6761 0.2076
P 0.6761 0.5419 0.7076
P 0.9561 0.0439 0.2500
O 0.0326 0.1271 0.9147
O 0.0448 0.7458 0.7725
O 0.1271 0.0326 0.4147
O 0.1457 0.4718 0.1275
O 0.2453 0.3802 0.8243
O 0.2542 0.9552 0.7275
O 0.2754 0.6361 0.4452
O 0.3639 0.7246 0.0548
O 0.3802 0.2453 0.3243
O 0.4718 0.1457 0.6275
O 0.4838 0.5162 0.7500
O 0.5162 0.4838 0.2500
O 0.5282 0.8543 0.3725
O 0.6198 0.7547 0.6757
O 0.6361 0.2754 0.9452
O 0.7246 0.3639 0.5548
O 0.7458 0.0448 0.2725
O 0.7547 0.6198 0.1757
O 0.8543 0.5282 0.8725
O 0.8729 0.9674 0.5853
O 0.9552 0.2542 0.2275
O 0.9674 0.8729 0.0853

Principal peaks in the range 10° ≤ 2θ ≤ 90°, low angle first:
| Position (°2θ) | I (rel.) |
| --- | --- |
| 15.4 | 96 |
| 16.9 | 23 |
| 19.8 | 100 |
| 24.4 | 33 |
| 28.4 | 30 |
| 31.5 | 76 |
| 34.1 | 21 |
| 35.0 | 30 |